# 1
Starting from a structure optimized by DFT (PBE), the X-ray powder pattern of LaAs2Pd was simulated for copper Kα.
Intensities are scaled so that the largest is 100.

Structural model:
abc: 7.166 4.642 10.482
angles: 90.00 90.00 90.00
Fractional coordinates of all 16 atoms:
La  0.164  0.250  0.130
La  0.336  0.750  0.630
La  0.664  0.250  0.370
La  0.836  0.750  0.870
As  0.134  0.250  0.827
As  0.201  0.250  0.422
As  0.299  0.750  0.922
As  0.366  0.750  0.327
As  0.634  0.250  0.673
As  0.701  0.250  0.078
As  0.799  0.750  0.578
As  0.866  0.750  0.173
Pd  0.020  0.750  0.387
Pd  0.480  0.250  0.887
Pd  0.520  0.750  0.113
Pd  0.980  0.250  0.613

Peak list (10 most intense, 2θ = 10–80°, sorted by position)
| 2θ (°) | I (rel.) |
| --- | --- |
| 28.55 | 73 |
| 31.54 | 100 |
| 32.71 | 74 |
| 34.22 | 76 |
| 34.48 | 89 |
| 35.90 | 35 |
| 38.80 | 97 |
| 40.98 | 78 |
| 46.04 | 45 |
| 52.68 | 44 |

# 2
Starting from a structure optimized by DFT (PBE), the X-ray powder pattern of LaAs2Pd7 was simulated for copper Kα.
Intensities are scaled so that the largest is 100.

Structural model:
abc: 10.639 10.639 10.639
angles: 157.24 157.24 32.41
Fractional coordinates of all 10 atoms:
La  0.000  0.000  0.000
As  0.324  0.324  0.000
As  0.676  0.676  0.000
Pd  0.107  0.607  0.500
Pd  0.250  0.750  0.500
Pd  0.393  0.893  0.500
Pd  0.500  0.500  0.000
Pd  0.607  0.107  0.500
Pd  0.750  0.250  0.500
Pd  0.893  0.393  0.500

Peak list (10 most intense, 2θ = 10–80°, sorted by position)
| 2θ (°) | I (rel.) |
| --- | --- |
| 24.91 | 15 |
| 31.38 | 19 |
| 34.96 | 27 |
| 35.14 | 17 |
| 40.30 | 100 |
| 43.09 | 59 |
| 56.77 | 17 |
| 62.58 | 19 |
| 72.12 | 12 |
| 77.11 | 29 |

# 3
Starting from a structure optimized by DFT (PBE), the X-ray powder pattern of La2AsPd3 was simulated for copper Kα.
Intensities are scaled so that the largest is 100.

Structural model:
abc: 9.027 8.780 5.937
angles: 72.79 68.29 38.92
Fractional coordinates of all 12 atoms:
La  0.247  0.753  0.753
La  0.250  0.250  0.250
La  0.750  0.750  0.750
La  0.753  0.247  0.247
As  0.334  0.334  0.666
As  0.666  0.666  0.334
Pd  0.172  0.658  0.342
Pd  0.174  0.174  0.826
Pd  0.342  0.828  0.172
Pd  0.658  0.172  0.828
Pd  0.826  0.826  0.174
Pd  0.828  0.342  0.658

Peak list (10 most intense, 2θ = 10–80°, sorted by position)
| 2θ (°) | I (rel.) |
| --- | --- |
| 32.24 | 50 |
| 32.47 | 100 |
| 39.96 | 56 |
| 40.52 | 27 |
| 46.23 | 19 |
| 52.08 | 14 |
| 52.70 | 24 |
| 62.72 | 29 |
| 63.14 | 14 |
| 68.00 | 12 |

# 4
Starting from a structure optimized by DFT (PBE), the X-ray powder pattern of LaAs3Pd3 was simulated for copper Kα.
Intensities are scaled so that the largest is 100.

Structural model:
abc: 6.843 6.843 6.843
angles: 90.00 90.00 90.00
Fractional coordinates of all 14 atoms:
La  0.000  0.000  0.000
La  0.500  0.500  0.500
As  0.000  0.250  0.500
As  0.000  0.750  0.500
As  0.250  0.500  0.000
As  0.500  0.000  0.250
As  0.500  0.000  0.750
As  0.750  0.500  0.000
Pd  0.000  0.500  0.250
Pd  0.000  0.500  0.750
Pd  0.250  0.000  0.500
Pd  0.500  0.250  0.000
Pd  0.500  0.750  0.000
Pd  0.750  0.000  0.500

Peak list (10 most intense, 2θ = 10–80°, sorted by position)
| 2θ (°) | I (rel.) |
| --- | --- |
| 18.34 | 5 |
| 26.04 | 43 |
| 32.04 | 100 |
| 45.94 | 20 |
| 49.86 | 57 |
| 53.57 | 27 |
| 60.51 | 16 |
| 63.80 | 13 |
| 76.20 | 16 |
| 79.18 | 17 |

# 5
Starting from a structure optimized by DFT (PBE), the X-ray powder pattern of LaAs2Pd6 was simulated for copper Kα.
Intensities are scaled so that the largest is 100.

Structural model:
abc: 4.291 4.291 8.722
angles: 90.00 90.00 90.00
Fractional coordinates of all 9 atoms:
La  0.000  0.000  0.000
As  0.500  0.500  0.147
As  0.500  0.500  0.853
Pd  0.000  0.000  0.500
Pd  0.000  0.500  0.290
Pd  0.000  0.500  0.710
Pd  0.500  0.000  0.290
Pd  0.500  0.000  0.710
Pd  0.500  0.500  0.500

Peak list (10 most intense, 2θ = 10–80°, sorted by position)
| 2θ (°) | I (rel.) |
| --- | --- |
| 10.14 | 10 |
| 29.20 | 12 |
| 36.06 | 100 |
| 37.36 | 15 |
| 42.12 | 60 |
| 43.09 | 34 |
| 60.54 | 9 |
| 61.08 | 20 |
| 73.03 | 25 |
| 77.65 | 12 |

# 6
Starting from a structure optimized by DFT (PBE), the X-ray powder pattern of LaAsPd3 was simulated for copper Kα.
Intensities are scaled so that the largest is 100.

Structural model:
abc: 6.714 6.714 6.714
angles: 131.76 95.93 103.34
Fractional coordinates of all 10 atoms:
La  0.277  0.027  0.250
La  0.723  0.973  0.750
As  0.000  0.500  0.500
As  0.500  0.500  0.000
Pd  0.098  0.348  0.750
Pd  0.263  0.000  0.763
Pd  0.263  0.500  0.263
Pd  0.737  0.000  0.237
Pd  0.737  0.500  0.737
Pd  0.902  0.652  0.250

Peak list (10 most intense, 2θ = 10–80°, sorted by position)
| 2θ (°) | I (rel.) |
| --- | --- |
| 27.80 | 73 |
| 28.69 | 66 |
| 29.24 | 76 |
| 38.44 | 100 |
| 39.33 | 96 |
| 40.12 | 85 |
| 41.63 | 99 |
| 44.38 | 36 |
| 57.44 | 59 |
| 64.43 | 27 |

# 7
Starting from a structure optimized by DFT (PBE), the X-ray powder pattern of LaPm4As5 was simulated for copper Kα.
Intensities are scaled so that the largest is 100.

Structural model:
abc: 11.288 11.288 11.288
angles: 158.20 149.01 38.22
Fractional coordinates of all 10 atoms:
La  0.000  0.000  0.000
Pm  0.201  0.201  0.000
Pm  0.399  0.399  0.000
Pm  0.601  0.601  0.000
Pm  0.799  0.799  0.000
As  0.102  0.602  0.500
As  0.300  0.800  0.500
As  0.500  0.000  0.500
As  0.700  0.200  0.500
As  0.898  0.398  0.500

Peak list (9 most intense, 2θ = 10–80°, sorted by position)
| 2θ (°) | I (rel.) |
| --- | --- |
| 25.57 | 18 |
| 29.61 | 100 |
| 42.36 | 75 |
| 50.14 | 9 |
| 52.53 | 27 |
| 61.46 | 12 |
| 67.68 | 4 |
| 69.69 | 34 |
| 77.49 | 25 |

# 8
Starting from a structure optimized by DFT (PBE), the X-ray powder pattern of LaPm3As4 was simulated for copper Kα.
Intensities are scaled so that the largest is 100.

Structural model:
abc: 7.399 7.399 4.276
angles: 90.00 90.00 109.45
Fractional coordinates of all 8 atoms:
La  0.000  0.000  0.000
Pm  0.000  0.500  0.500
Pm  0.500  0.000  0.500
Pm  0.500  0.500  0.000
As  0.252  0.748  0.000
As  0.254  0.254  0.500
As  0.746  0.746  0.500
As  0.748  0.252  0.000

Peak list (9 most intense, 2θ = 10–80°, sorted by position)
| 2θ (°) | I (rel.) |
| --- | --- |
| 25.53 | 17 |
| 29.56 | 100 |
| 42.30 | 75 |
| 50.06 | 9 |
| 52.45 | 27 |
| 61.36 | 12 |
| 67.56 | 4 |
| 69.56 | 34 |
| 77.35 | 25 |